Record 1
Structure and simulated powder X-ray diffraction pattern of DyY5Er12 (a PBE-relaxed structure; Cu Kα (λ = 1.5418 Å)).
Kinematic intensities with the Lorentz-polarization factor, no thermal factor.

Cell and atoms:
a b c (Å): 10.581 4.983 10.593
angles (deg): 90.00 90.14 90.00
Sites, in units of the cell vectors:
Dy  0.000  0.000  0.000
Y  0.166  0.500  0.834
Y  0.333  0.000  0.667
Y  0.500  0.500  0.500
Y  0.667  0.000  0.333
Y  0.834  0.500  0.166
Er  0.001  0.000  0.334
Er  0.165  0.500  0.499
Er  0.167  0.500  0.167
Er  0.332  0.000  0.332
Er  0.334  0.000  0.001
Er  0.499  0.500  0.165
Er  0.501  0.500  0.835
Er  0.666  0.000  0.999
Er  0.668  0.000  0.668
Er  0.833  0.500  0.833
Er  0.835  0.500  0.501
Er  0.999  0.000  0.666

Top 10 peaks for 2θ from 10° to 90°, in order of falling intensity:
2θ = 31.05°, intensity 100
2θ = 35.99°, intensity 34
2θ = 61.72°, intensity 28
2θ = 51.82°, intensity 24
2θ = 36.05°, intensity 17
2θ = 61.59°, intensity 14
2θ = 64.74°, intensity 12
2θ = 51.89°, intensity 12
2θ = 87.53°, intensity 10
2θ = 84.65°, intensity 9


Record 2
Structure and simulated powder X-ray diffraction pattern of BeFe2Pd (a PBE-relaxed structure; Cu Kα (λ = 1.5418 Å)).
Kinematic intensities with the Lorentz-polarization factor, no thermal factor.

Cell and atoms:
a b c (Å): 9.263 9.263 9.263
angles (deg): 159.14 159.14 29.67
Sites, in units of the cell vectors:
Be  0.000  0.000  0.000
Be  0.750  0.250  0.500
Fe  0.109  0.625  0.984
Fe  0.375  0.359  0.484
Fe  0.641  0.125  0.016
Fe  0.875  0.891  0.516
Pd  0.250  0.750  0.500
Pd  0.500  0.500  0.000

Top 10 peaks for 2θ from 10° to 90°, in order of falling intensity:
2θ = 39.30°, intensity 100
2θ = 58.80°, intensity 57
2θ = 49.06°, intensity 51
2θ = 40.29°, intensity 47
2θ = 30.57°, intensity 45
2θ = 27.05°, intensity 44
2θ = 36.71°, intensity 28
2θ = 87.49°, intensity 21
2θ = 65.29°, intensity 21
2θ = 62.10°, intensity 12


Record 3
Structure and simulated powder X-ray diffraction pattern of Ca3PrPb2 (a PBE-relaxed structure; Cu Kα (λ = 1.5418 Å)).
Kinematic intensities with the Lorentz-polarization factor, no thermal factor.

Cell and atoms:
a b c (Å): 5.428 9.723 7.237
angles (deg): 90.00 90.00 90.00
Sites, in units of the cell vectors:
Ca  0.000  0.030  0.000
Ca  0.000  0.325  0.302
Ca  0.000  0.675  0.802
Ca  0.000  0.970  0.500
Ca  0.500  0.167  0.722
Ca  0.500  0.833  0.222
Pr  0.500  0.481  0.022
Pr  0.500  0.519  0.522
Pb  0.000  0.342  0.771
Pb  0.000  0.658  0.271
Pb  0.500  0.162  0.250
Pb  0.500  0.838  0.750

Top 10 peaks for 2θ from 10° to 90°, in order of falling intensity:
2θ = 32.17°, intensity 100
2θ = 31.09°, intensity 95
2θ = 22.42°, intensity 82
2θ = 22.03°, intensity 50
2θ = 33.00°, intensity 50
2θ = 30.80°, intensity 39
2θ = 56.85°, intensity 30
2θ = 61.09°, intensity 28
2θ = 45.77°, intensity 26
2θ = 24.60°, intensity 24


Record 4
Structure and simulated powder X-ray diffraction pattern of Li2Ga3Rh (a PBE-relaxed structure; Cu Kα (λ = 1.5418 Å)).
Kinematic intensities with the Lorentz-polarization factor, no thermal factor.

Cell and atoms:
a b c (Å): 6.249 6.249 3.622
angles (deg): 90.00 90.00 142.75
Sites, in units of the cell vectors:
Li  0.164  0.836  0.000
Li  0.836  0.164  0.000
Ga  0.000  0.000  0.500
Ga  0.333  0.667  0.500
Ga  0.667  0.333  0.500
Rh  0.500  0.500  0.000

Top 10 peaks for 2θ from 10° to 90°, in order of falling intensity:
2θ = 40.66°, intensity 100
2θ = 14.96°, intensity 27
2θ = 88.05°, intensity 21
2θ = 23.52°, intensity 19
2θ = 45.44°, intensity 18
2θ = 45.98°, intensity 17
2θ = 34.28°, intensity 14
2θ = 81.46°, intensity 13
2θ = 50.39°, intensity 13
2θ = 80.69°, intensity 13


Record 5
Structure and simulated powder X-ray diffraction pattern of Ac2ZnSnSe5 (a PBE-relaxed structure; Cu Kα (λ = 1.5418 Å)).
Kinematic intensities with the Lorentz-polarization factor, no thermal factor.

Cell and atoms:
a b c (Å): 9.528 9.528 12.566
angles (deg): 90.00 90.00 153.91
Sites, in units of the cell vectors:
Ac  0.112  0.888  0.500
Ac  0.128  0.872  0.121
Ac  0.872  0.128  0.621
Ac  0.888  0.112  0.000
Zn  0.443  0.557  0.266
Zn  0.557  0.443  0.766
Sn  0.204  0.796  0.827
Sn  0.796  0.204  0.327
Se  0.043  0.957  0.868
Se  0.286  0.714  0.490
Se  0.318  0.682  0.162
Se  0.362  0.638  0.814
Se  0.496  0.504  0.589
Se  0.504  0.496  0.089
Se  0.638  0.362  0.314
Se  0.682  0.318  0.662
Se  0.714  0.286  0.990
Se  0.957  0.043  0.368

Top 10 peaks for 2θ from 10° to 90°, in order of falling intensity:
2θ = 30.17°, intensity 100
2θ = 34.97°, intensity 62
2θ = 29.74°, intensity 42
2θ = 41.99°, intensity 36
2θ = 23.30°, intensity 31
2θ = 46.55°, intensity 20
2θ = 25.55°, intensity 20
2θ = 48.59°, intensity 19
2θ = 31.84°, intensity 18
2θ = 38.57°, intensity 18


Record 6
Structure and simulated powder X-ray diffraction pattern of Ac3Pm12Dy (a PBE-relaxed structure; Cu Kα (λ = 1.5418 Å)).
Kinematic intensities with the Lorentz-polarization factor, no thermal factor.

Cell and atoms:
a b c (Å): 5.241 5.241 20.937
angles (deg): 90.00 90.00 90.00
Sites, in units of the cell vectors:
Ac  0.000  0.000  0.000
Ac  0.000  0.000  0.253
Ac  0.000  0.000  0.747
Pm  0.000  0.500  0.126
Pm  0.000  0.500  0.380
Pm  0.000  0.500  0.620
Pm  0.000  0.500  0.874
Pm  0.500  0.000  0.126
Pm  0.500  0.000  0.380
Pm  0.500  0.000  0.620
Pm  0.500  0.000  0.874
Pm  0.500  0.500  0.000
Pm  0.500  0.500  0.254
Pm  0.500  0.500  0.500
Pm  0.500  0.500  0.746
Dy  0.000  0.000  0.500

Top 10 peaks for 2θ from 10° to 90°, in order of falling intensity:
2θ = 29.53°, intensity 100
2θ = 34.23°, intensity 51
2θ = 58.43°, intensity 44
2θ = 49.19°, intensity 37
2θ = 79.80°, intensity 18
2θ = 82.31°, intensity 16
2θ = 61.30°, intensity 13
2θ = 72.09°, intensity 4
2θ = 16.92°, intensity 2
2θ = 24.02°, intensity 2